1.
For Sm3Sn13Ru4, a cell relaxed with GGA-PBE gives the simulated X-ray diffraction stick pattern in this record (Cu Kα, 1.54184 Å).
Lines closer than 0.1° are merged.

Crystal structure
a = 9.7860 Å, b = 9.7860 Å, c = 9.7860 Å
α = 90.00°, β = 90.00°, γ = 90.00°
Space group Pm-3n (No. 223)
Unique sites:
Sm 0.0000 0.2500 0.5000 [6 per cell]
Sn 0.0000 0.0000 0.0000 [2 per cell]
Sn 0.0000 0.3032 0.1544 [24 per cell]
Ru 0.2500 0.2500 0.2500 [8 per cell]

Peak list (8 most intense, 10° ≤ 2θ ≤ 90°, in order of rising 2θ)
2θ/deg	I_rel	h k l
33.00	100	3 2 0
34.29	37	3 2 1
36.74	23	4 0 0
37.91	13	4 1 0
45.40	20	4 2 2
54.69	14	4 3 3
58.11	17	5 3 2
63.01	13	6 2 2

2.
For NdEr2TmBi4, a cell relaxed with GGA-PBE gives the simulated X-ray diffraction stick pattern in this record (Cu Kα, 1.54184 Å).
Lines closer than 0.1° are merged.

Crystal structure
a = 7.7674 Å, b = 4.4902 Å, c = 7.7694 Å
α = 90.00°, β = 109.49°, γ = 90.00°
Space group P2/m (No. 10)
Unique sites:
Nd 0.0000 0.0000 0.0000 [1 per cell]
Er 0.0000 0.5000 0.5000 [1 per cell]
Er 0.5000 0.0000 0.5000 [1 per cell]
Tm 0.5000 0.5000 0.0000 [1 per cell]
Bi 0.2545 0.0000 0.7470 [2 per cell]
Bi 0.2578 0.5000 0.2569 [2 per cell]

Peak list (8 most intense, 10° ≤ 2θ ≤ 90°, in order of rising 2θ)
2θ/deg	I_rel	h k l
28.13	100	1 1 1
40.20	78	0 2 0
49.78	28	2 2 -2
58.16	13	2 2 2
65.83	37	1 3 1
73.06	28	1 3 -3
86.80	5	0 4 0
86.87	5	6 2 -2

3.
For CeSnSbRh3, a cell relaxed with GGA-PBE gives the simulated X-ray diffraction stick pattern in this record (Cu Kα, 1.54184 Å).
Lines closer than 0.1° are merged.

Crystal structure
a = 5.7273 Å, b = 16.9052 Å, c = 5.7201 Å
α = 90.00°, β = 90.00°, γ = 90.00°
Space group Cmcm (No. 63)
Unique sites:
Ce 0.0000 0.2319 0.2500 [4 per cell]
Sn 0.0000 0.4003 0.7500 [4 per cell]
Sb 0.0000 0.0931 0.7500 [4 per cell]
Rh 0.0000 0.2458 0.7500 [4 per cell]
Rh 0.2472 0.5000 0.0000 [8 per cell]

Peak list (8 most intense, 10° ≤ 2θ ≤ 90°, in order of rising 2θ)
2θ/deg	I_rel	h k l
21.02	32	0 4 0
27.13	67	1 3 1
31.25	26	2 0 0
33.05	80	2 2 0
44.79	62	2 0 2
45.16	100	2 6 0
53.15	21	3 3 1
82.84	34	4 6 2